No. 1
The following is a computed XRD peak list of MgCo2O4. It was derived from a cell relaxed with PBE+U, using Cu Kα (λ = 1.5418 Å).
Kinematic intensities with the Lorentz-polarization factor, no thermal factor.

Structural model:
```
data_MgCo2O4
_chemical_formula_sum 'Mg12 Co24 O48'
_space_group_name_H-M_alt 'C 1 m 1'
_space_group_IT_number 8
_space_group_name_Hall 'C -2y'
_cell_length_a 10.106
_cell_length_b 5.820
_cell_length_c 14.245
_cell_angle_alpha 90.00
_cell_angle_beta 90.31
_cell_angle_gamma 90.00
loop_
_atom_site_label
_atom_site_type_symbol
_atom_site_fract_x
_atom_site_fract_y
_atom_site_fract_z
_atom_site_occupancy
Mg1 Mg 0.000 0.000 0.000 1
Mg2 Mg 0.001 0.500 0.497 1
Mg3 Mg 0.167 0.000 0.832 1
Mg4 Mg 0.325 0.000 0.290 1
Mg5 Mg 0.330 0.500 0.166 1
Mg6 Mg 0.334 0.000 0.665 1
Co1 Co 0.003 0.000 0.372 1
Co2 Co 0.083 0.249 0.165 1
Co3 Co 0.161 0.500 0.952 1
Co4 Co 0.165 0.500 0.329 1
Co5 Co 0.171 0.500 0.709 1
Co6 Co 0.250 0.253 0.497 1
Co7 Co 0.340 0.000 0.043 1
Co8 Co 0.416 0.244 0.832 1
Co9 Co 0.495 0.500 0.621 1
O1 O 0.010 0.000 0.240 1
O2 O 0.016 0.500 0.243 1
O3 O 0.072 0.247 0.910 1
O4 O 0.097 0.261 0.413 1
O5 O 0.155 0.500 0.088 1
O6 O 0.161 0.000 0.091 1
O7 O 0.174 0.000 0.573 1
O8 O 0.174 0.500 0.573 1
O9 O 0.233 0.273 0.246 1
O10 O 0.260 0.249 0.753 1
O11 O 0.318 0.500 0.416 1
O12 O 0.325 0.000 0.428 1
O13 O 0.341 0.500 0.907 1
O14 O 0.343 0.000 0.907 1
O15 O 0.407 0.248 0.575 1
O16 O 0.426 0.253 0.089 1
O17 O 0.491 0.500 0.755 1
O18 O 0.493 0.000 0.757 1
```

Most intense lines, 2θ from 5° to 70°, in order of falling intensity:
d/Å, intensity, index
2.485, 100.0, 4 0 1
2.479, 88.8, 2 0 5
2.917, 54.1, 2 0 -4
1.458, 41.9, 6 2 0
4.762, 33.8, 2 0 -1
1.585, 29.4, 6 0 3
1.453, 28.0, 2 2 8
2.061, 22.9, 2 2 -4


No. 2
The following is a computed XRD peak list of MgCo2O4. It was derived from a cell relaxed with PBE+U, using Cu Kα (λ = 1.5418 Å).
Kinematic intensities with the Lorentz-polarization factor, no thermal factor.

Structural model:
```
data_MgCo2O4
_chemical_formula_sum 'Mg2 Co4 O8'
_space_group_name_H-M_alt 'C 1 2/m 1'
_space_group_IT_number 12
_space_group_name_Hall '-C 2y'
_cell_length_a 10.788
_cell_length_b 3.031
_cell_length_c 4.963
_cell_angle_alpha 90.00
_cell_angle_beta 114.35
_cell_angle_gamma 90.00
loop_
_atom_site_label
_atom_site_type_symbol
_atom_site_fract_x
_atom_site_fract_y
_atom_site_fract_z
_atom_site_occupancy
Mg1 Mg 0.000 0.000 0.000 1
Co1 Co 0.216 0.500 0.712 1
O1 O 0.136 0.500 0.979 1
O2 O 0.137 0.000 0.439 1
```

Most intense lines, 2θ from 5° to 70°, in order of falling intensity:
d/Å, intensity, index
4.914, 100.0, 2 0 0
2.586, 58.5, 1 1 -1
2.315, 56.0, 1 1 1
1.806, 27.1, 3 1 1
2.225, 25.6, 3 1 0
1.451, 23.5, 3 1 -3
2.801, 22.6, 2 0 1
2.478, 21.8, 2 0 -2


No. 3
The following is a computed XRD peak list of MgCo2O5. It was derived from a cell relaxed with PBE+U, using Cu Kα (λ = 1.5418 Å).
Kinematic intensities with the Lorentz-polarization factor, no thermal factor.

Structural model:
```
data_MgCo2O5
_chemical_formula_sum 'Mg4 Co8 O20'
_space_group_name_H-M_alt 'C m c m'
_space_group_IT_number 63
_space_group_name_Hall '-C 2c 2'
_cell_length_a 3.704
_cell_length_b 10.237
_cell_length_c 11.131
_cell_angle_alpha 90.00
_cell_angle_beta 90.00
_cell_angle_gamma 90.00
loop_
_atom_site_label
_atom_site_type_symbol
_atom_site_fract_x
_atom_site_fract_y
_atom_site_fract_z
_atom_site_occupancy
Mg1 Mg 0.000 0.111 0.250 1
Co1 Co 0.000 0.205 0.597 1
O1 O 0.000 0.043 0.630 1
O2 O 0.000 0.233 0.080 1
O3 O 0.000 0.303 0.750 1
```

Most intense lines, 2θ from 5° to 70°, in order of falling intensity:
d/Å, intensity, index
5.118, 100.0, 0 2 0
3.483, 41.4, 1 1 0
3.004, 40.5, 0 2 3
2.539, 36.4, 1 1 3
1.853, 34.5, 2 0 0
3.324, 33.1, 1 1 1
1.743, 21.1, 0 2 6
1.507, 17.1, 1 5 4


No. 4
The following is a computed XRD peak list of MgCo2P2O8. It was derived from a cell relaxed with PBE+U, using Cu Kα (λ = 1.5418 Å).
Kinematic intensities with the Lorentz-polarization factor, no thermal factor.

Structural model:
```
data_MgCo2P2O8
_chemical_formula_sum 'Mg2 Co4 P4 O16'
_space_group_name_H-M_alt 'C 1 2/m 1'
_space_group_IT_number 12
_space_group_name_Hall '-C 2y'
_cell_length_a 8.251
_cell_length_b 5.544
_cell_length_c 6.534
_cell_angle_alpha 90.00
_cell_angle_beta 94.22
_cell_angle_gamma 90.00
loop_
_atom_site_label
_atom_site_type_symbol
_atom_site_fract_x
_atom_site_fract_y
_atom_site_fract_z
_atom_site_occupancy
Mg1 Mg 0.000 0.000 0.000 1
Co1 Co 0.000 0.500 0.000 1
Co2 Co 0.000 0.500 0.500 1
P1 P 0.166 0.000 0.715 1
O1 O 0.045 0.223 0.744 1
O2 O 0.232 0.500 0.073 1
O3 O 0.245 0.500 0.475 1
```

Most intense lines, 2θ from 5° to 70°, in order of falling intensity:
d/Å, intensity, index
2.772, 100.0, 0 2 0
3.686, 82.1, 1 1 1
2.111, 79.3, 0 2 2
2.608, 78.8, 1 1 2
2.712, 72.6, 1 1 -2
4.114, 71.5, 2 0 0
2.458, 57.8, 3 1 0
1.916, 57.2, 2 2 -2


No. 5
The following is a computed XRD peak list of MgCo4P12O36. It was derived from a cell relaxed with PBE+U, using Cu Kα (λ = 1.5418 Å).
Kinematic intensities with the Lorentz-polarization factor, no thermal factor.

Structural model:
```
data_MgCo4P12O36
_chemical_formula_sum 'Mg1 Co4 P12 O36'
_space_group_name_H-M_alt 'P 1'
_space_group_IT_number 1
_space_group_name_Hall 'P 1'
_cell_length_a 8.594
_cell_length_b 8.621
_cell_length_c 8.953
_cell_angle_alpha 90.86
_cell_angle_beta 91.89
_cell_angle_gamma 90.69
loop_
_atom_site_label
_atom_site_type_symbol
_atom_site_fract_x
_atom_site_fract_y
_atom_site_fract_z
_atom_site_occupancy
Mg1 Mg 0.000 0.000 0.000 1
Co1 Co 0.117 0.733 0.328 1
Co2 Co 0.358 0.448 0.809 1
Co3 Co 0.614 0.940 0.595 1
Co4 Co 0.836 0.246 0.142 1
P1 P 0.036 0.259 0.757 1
P2 P 0.173 0.099 0.285 1
P3 P 0.194 0.796 0.890 1
P4 P 0.283 0.411 0.404 1
P5 P 0.318 0.084 0.742 1
P6 P 0.451 0.909 0.267 1
P7 P 0.512 0.415 0.149 1
P8 P 0.661 0.577 0.652 1
P9 P 0.670 0.890 0.005 1
P10 P 0.772 0.277 0.523 1
P11 P 0.797 0.604 0.146 1
P12 P 0.942 0.768 0.643 1
O1 O 0.027 0.827 0.799 1
O2 O 0.064 0.707 0.544 1
O3 O 0.078 0.159 0.150 1
O4 O 0.100 0.963 0.359 1
O5 O 0.130 0.397 0.813 1
O6 O 0.134 0.806 0.047 1
O7 O 0.149 0.133 0.678 1
O8 O 0.169 0.512 0.321 1
O9 O 0.205 0.236 0.400 1
O10 O 0.269 0.969 0.876 1
O11 O 0.291 0.676 0.824 1
O12 O 0.332 0.442 0.563 1
O13 O 0.343 0.057 0.228 1
O14 O 0.349 0.774 0.307 1
O15 O 0.392 0.471 0.037 1
O16 O 0.393 0.992 0.620 1
O17 O 0.402 0.219 0.815 1
O18 O 0.434 0.383 0.307 1
O19 O 0.519 0.878 0.104 1
O20 O 0.582 0.506 0.781 1
O21 O 0.584 0.957 0.372 1
O22 O 0.585 0.714 0.576 1
O23 O 0.606 0.276 0.110 1
O24 O 0.624 0.917 0.846 1
O25 O 0.628 0.558 0.206 1
O26 O 0.670 0.165 0.604 1
O27 O 0.695 0.448 0.527 1
O28 O 0.747 0.721 0.013 1
O29 O 0.789 0.001 0.081 1
O30 O 0.816 0.246 0.366 1
O31 O 0.836 0.629 0.705 1
O32 O 0.840 0.900 0.592 1
O33 O 0.872 0.465 0.076 1
O34 O 0.888 0.693 0.266 1
O35 O 0.931 0.312 0.619 1
O36 O 0.941 0.172 0.867 1
```

Most intense lines, 2θ from 5° to 70°, in order of falling intensity:
d/Å, intensity, index
3.915, 100.0, 1 0 2
4.023, 82.8, 1 0 -2
3.830, 81.0, 1 2 0
3.869, 66.6, 1 -2 0
3.559, 43.1, 1 2 -1
2.735, 34.5, 1 -3 0
5.086, 31.9, -1 1 1
2.714, 28.5, 1 3 0


No. 6
The following is a computed XRD peak list of MgCo2P2O8. It was derived from a cell relaxed with PBE+U, using Cu Kα (λ = 1.5418 Å).
Kinematic intensities with the Lorentz-polarization factor, no thermal factor.

Structural model:
```
data_MgCo2P2O8
_chemical_formula_sum 'Mg2 Co4 P4 O16'
_space_group_name_H-M_alt 'P 1 21/c 1'
_space_group_IT_number 14
_space_group_name_Hall '-P 2ybc'
_cell_length_a 5.104
_cell_length_b 8.413
_cell_length_c 8.918
_cell_angle_alpha 90.00
_cell_angle_beta 120.33
_cell_angle_gamma 90.00
loop_
_atom_site_label
_atom_site_type_symbol
_atom_site_fract_x
_atom_site_fract_y
_atom_site_fract_z
_atom_site_occupancy
Mg1 Mg 0.000 0.000 0.000 1
Co1 Co 0.023 0.141 0.614 1
P1 P 0.336 0.693 0.300 1
O1 O 0.187 0.638 0.741 1
O2 O 0.190 0.579 0.141 1
O3 O 0.259 0.639 0.439 1
O4 O 0.317 0.194 0.125 1
```

Most intense lines, 2θ from 5° to 70°, in order of falling intensity:
d/Å, intensity, index
3.500, 100.0, 0 1 2
4.405, 53.2, 1 0 0
2.543, 43.7, 2 0 -2
4.354, 37.2, 1 1 -1
2.456, 36.5, 1 3 -1
3.902, 28.5, 1 1 0
3.242, 22.5, 1 2 -1
2.105, 19.2, 0 4 0